Simulated powder X-ray diffraction pattern
Compound: ZrAlO3
Radiation: Cu Kα, 1.54184 Å
Structure: a PBE-relaxed structure
Lines closer than 0.1° are merged.

Cell lengths 3.6723, 3.6723, 3.6723 Å; angles 90.00, 90.00, 90.00 degrees
Space group Pm-3m (No. 221)
Symmetry-distinct sites (fractional):
Zr  0.0000  0.0000  0.0000
Al  0.5000  0.5000  0.5000
O  0.0000  0.5000  0.5000

Top 10 peaks for 10 to 90 degrees two-theta, in order of rising 2θ:
d_spacing  2θ (°)  I/Imax
3.672  24.2  27.2
2.597  34.5  100.0
2.120  42.6  43.9
1.836  49.7  43.9
1.642  56.0  12.2
1.499  61.9  37.6
1.298  72.8  24.6
1.224  78.1  5.9
1.161  83.2  16.5
1.107  88.3  12.2


Simulated powder X-ray diffraction pattern
Compound: AlOs
Radiation: Cu Kα, 1.54184 Å
Structure: a PBE-relaxed structure
Lines closer than 0.1° are merged.

Cell lengths 3.0180, 3.0180, 3.0180 Å; angles 90.00, 90.00, 90.00 degrees
Space group Pm-3m (No. 221)
Symmetry-distinct sites (fractional):
Al  0.0000  0.0000  0.0000
Os  0.5000  0.5000  0.5000

Top 6 peaks for 10 to 90 degrees two-theta, in order of rising 2θ:
d_spacing  2θ (°)  I/Imax
3.018  29.6  72.4
2.134  42.4  100.0
1.742  52.5  20.3
1.509  61.4  16.8
1.350  69.7  26.4
1.232  77.5  34.6


Simulated powder X-ray diffraction pattern
Compound: Al2Os
Radiation: Cu Kα, 1.54184 Å
Structure: a PBE-relaxed structure
Lines closer than 0.1° are merged.

Cell lengths 3.1838, 3.1838, 8.3357 Å; angles 90.00, 90.00, 90.00 degrees
Space group I4/mmm (No. 139)
Symmetry-distinct sites (fractional):
Al  0.0000  0.0000  0.1618
Os  0.0000  0.0000  0.5000

Top 10 peaks for 10 to 90 degrees two-theta, in order of rising 2θ:
d_spacing  2θ (°)  I/Imax
4.168  21.3  60.7
2.974  30.0  100.0
2.251  40.1  54.1
2.093  43.2  87.2
1.981  45.8  34.1
1.592  57.9  18.5
1.477  62.9  14.2
1.404  66.6  21.5
1.267  74.9  34.7
1.182  81.4  14.0


Simulated powder X-ray diffraction pattern
Compound: Al3Os2
Radiation: Cu Kα, 1.54184 Å
Structure: a PBE-relaxed structure
Lines closer than 0.1° are merged.

Cell lengths 3.1280, 3.1280, 14.2617 Å; angles 90.00, 90.00, 90.00 degrees
Space group I4/mmm (No. 139)
Symmetry-distinct sites (fractional):
Al  0.0000  0.0000  0.0000
Al  0.0000  0.0000  0.1963
Os  0.0000  0.0000  0.3935

Top 10 peaks for 10 to 90 degrees two-theta, in order of rising 2θ:
d_spacing  2θ (°)  I/Imax
3.565  25.0  44.8
3.055  29.2  85.8
2.613  34.3  17.9
2.212  40.8  59.8
2.108  42.9  100.0
1.880  48.4  31.2
1.564  59.1  20.3
1.392  67.2  16.8
1.256  75.7  38.0
1.199  80.1  16.0